For NaNiO2, DFT lattice parameters and positions (PBE+U) gives the theoretical powder X-ray diffraction pattern in this record (Cu Kα).
Neutral-atom scattering factors, no anomalous dispersion.

The 10 most intense peaks (10 to 90 degrees two-theta), in order of falling intensity:
2θ 16.63, intensity 100
2θ 37.96, intensity 50
2θ 39.02, intensity 42
2θ 39.46, intensity 36
2θ 49.74, intensity 33
2θ 63.11, intensity 25
2θ 33.62, intensity 25
2θ 48.04, intensity 17
2θ 34.46, intensity 16
2θ 64.48, intensity 16

Structural model:
```
NaNiO2
1.0
3.038 0.000 0.000
0.000 5.054 0.000
-0.416 0.000 10.661
Na Ni O
4 4 8
Cartesian
-0.104 0.799 2.665
-0.312 4.255 7.996
1.207 1.728 7.996
1.415 3.326 2.665
0.000 2.527 0.000
-0.208 2.527 5.331
1.519 0.000 0.000
1.311 0.000 5.331
-0.307 0.910 9.620
-0.099 4.144 4.289
1.410 1.617 1.041
1.202 3.438 6.372
1.420 1.617 4.289
1.212 3.438 9.620
2.721 0.910 6.372
2.929 4.144 1.041
```